No. 1
# Y3Te4
Computed X-ray powder pattern, Cu Ka. Input: DFT lattice parameters and positions (GGA-PBE).

The 8 most intense peaks (2θ = 10–90°), low angle first:
2θ/deg, I/Imax
23.02, 32
24.06, 42
27.85, 78
36.43, 26
39.79, 100
49.27, 20
65.11, 24
72.24, 30

Cell and atoms:
```
data_Y3Te4
_symmetry_space_group_name_H-M 'P 1'
_symmetry_Int_Tables_number 1
_symmetry_space_group_name_Hall 'P 1'
_cell_length_a 9.061
_cell_length_b 9.061
_cell_length_c 9.061
_cell_angle_alpha 60.00
_cell_angle_beta 60.00
_cell_angle_gamma 60.00
loop_
_atom_site_label
_atom_site_fract_x
_atom_site_fract_y
_atom_site_fract_z
Y1 0.000 0.000 0.000
Y2 0.000 0.000 0.500
Y3 0.000 0.500 0.000
Y4 0.375 0.375 0.375
Y5 0.500 0.000 0.000
Y6 0.625 0.625 0.625
Te1 0.227 0.758 0.758
Te2 0.242 0.242 0.242
Te3 0.242 0.242 0.773
Te4 0.242 0.773 0.242
Te5 0.758 0.227 0.758
Te6 0.758 0.758 0.227
Te7 0.758 0.758 0.758
Te8 0.773 0.242 0.242
```

=====

No. 2
# KNiRh3
Computed X-ray powder pattern, Cu Ka. Input: DFT lattice parameters and positions (GGA-PBE).

The 8 most intense peaks (2θ = 10–90°), low angle first:
2θ/deg, I/Imax
19.09, 58
33.38, 97
38.73, 100
43.53, 28
55.94, 66
59.66, 13
66.72, 37
70.11, 22

Cell and atoms:
```
data_KNiRh3
_symmetry_space_group_name_H-M 'P 1'
_symmetry_Int_Tables_number 1
_symmetry_space_group_name_Hall 'P 1'
_cell_length_a 4.649
_cell_length_b 4.649
_cell_length_c 4.649
_cell_angle_alpha 90.00
_cell_angle_beta 90.00
_cell_angle_gamma 90.00
loop_
_atom_site_label
_atom_site_fract_x
_atom_site_fract_y
_atom_site_fract_z
K1 0.000 0.000 0.000
Ni1 0.500 0.500 0.500
Rh1 0.000 0.500 0.500
Rh2 0.500 0.000 0.500
Rh3 0.500 0.500 0.000
```

=====

No. 3
# CeYCSe
Computed X-ray powder pattern, Cu Ka. Input: DFT lattice parameters and positions (GGA-PBE).

The 8 most intense peaks (2θ = 10–90°), low angle first:
2θ/deg, I/Imax
27.75, 60
32.53, 73
35.11, 100
39.29, 18
48.44, 46
52.50, 19
61.22, 19
64.06, 25

Cell and atoms:
```
data_CeYCSe
_symmetry_space_group_name_H-M 'P 1'
_symmetry_Int_Tables_number 1
_symmetry_space_group_name_Hall 'P 1'
_cell_length_a 7.214
_cell_length_b 7.214
_cell_length_c 7.214
_cell_angle_alpha 30.20
_cell_angle_beta 30.20
_cell_angle_gamma 30.20
loop_
_atom_site_label
_atom_site_fract_x
_atom_site_fract_y
_atom_site_fract_z
Ce1 0.000 0.000 0.000
Y1 0.801 0.801 0.801
C1 0.400 0.400 0.400
Se1 0.229 0.229 0.229
```

=====

Copy entry 2 word for word.
# KNiRh3
Computed X-ray powder pattern, Cu Ka. Input: DFT lattice parameters and positions (GGA-PBE).

The 8 most intense peaks (2θ = 10–90°), low angle first:
2θ/deg, I/Imax
19.09, 58
33.38, 97
38.73, 100
43.53, 28
55.94, 66
59.66, 13
66.72, 37
70.11, 22

Cell and atoms:
```
data_KNiRh3
_symmetry_space_group_name_H-M 'P 1'
_symmetry_Int_Tables_number 1
_symmetry_space_group_name_Hall 'P 1'
_cell_length_a 4.649
_cell_length_b 4.649
_cell_length_c 4.649
_cell_angle_alpha 90.00
_cell_angle_beta 90.00
_cell_angle_gamma 90.00
loop_
_atom_site_label
_atom_site_fract_x
_atom_site_fract_y
_atom_site_fract_z
K1 0.000 0.000 0.000
Ni1 0.500 0.500 0.500
Rh1 0.000 0.500 0.500
Rh2 0.500 0.000 0.500
Rh3 0.500 0.500 0.000
```

=====

Q: What is the formula in the first record?
A: Y3Te4